Simulated X-ray powder pattern
Compound: Tb2MgSe4
Radiation: Cu Kα
Structure: a DFT-relaxed cell (PBE, the Materials Project)
No peak broadening, texture or thermal motion is included.

Atomic structure:
```
data_Tb2MgSe4
_cell_length_a 14.238
_cell_length_b 8.303
_cell_length_c 6.863
_cell_angle_alpha 90.00
_cell_angle_beta 90.00
_cell_angle_gamma 90.00
_space_group_name_H-M_alt 'P n m a'
_space_group_IT_number 62
loop_
_space_group_symop_operation_xyz
'x,y,z'
'-x,-y,-z'
'-x+1/2,-y,z+1/2'
'x+1/2,y,-z+1/2'
'x+1/2,-y+1/2,-z+1/2'
'-x+1/2,y+1/2,z+1/2'
'-x,y+1/2,-z'
'x,-y+1/2,z'
loop_
_atom_site_label
_atom_site_fract_x
_atom_site_fract_y
_atom_site_fract_z
Tb1 0.000 0.000 0.000
Tb2 0.234 0.250 0.497
Mg1 0.092 0.750 0.581
Se1 0.072 0.250 0.250
Se2 0.092 0.750 0.212
Se3 0.169 0.507 0.759
```

Top 10 peaks for 5° ≤ 2θ ≤ 70°, sorted by position:
2θ 14.33, intensity 44
2θ 17.89, intensity 64
2θ 22.78, intensity 29
2θ 25.85, intensity 36
2θ 28.07, intensity 60
2θ 28.24, intensity 32
2θ 36.23, intensity 100
2θ 36.37, intensity 42
2θ 43.61, intensity 29
2θ 43.95, intensity 58



Simulated X-ray powder pattern
Compound: Y7Co6Sn23
Radiation: Cu Kα
Structure: a DFT-relaxed cell (PBE, the Materials Project)
No peak broadening, texture or thermal motion is included.

Atomic structure:
```
data_Y7Co6Sn23
_cell_length_a 10.1057
_cell_length_b 10.1057
_cell_length_c 10.9285
_cell_angle_alpha 90.00
_cell_angle_beta 90.00
_cell_angle_gamma 120.00
_space_group_name_H-M_alt 'P -3 m 1'
_space_group_IT_number 164
_space_group_name_Hall '-P 3 2"'
loop_
_atom_site_label
_atom_site_fract_x
_atom_site_fract_y
_atom_site_fract_z
Y1 0.0000 0.0000 0.0000
Y2 0.0486 0.5243 0.2911
Co1 0.1944 0.3888 0.1486
Sn1 0.0000 0.0000 0.5000
Sn2 0.0000 0.3485 0.0000
Sn3 0.1143 0.2287 0.3185
Sn4 0.2282 0.4564 0.5549
Sn5 0.3333 0.6667 0.1069
Sn6 0.3333 0.6667 0.7961
```

Top 10 peaks for 5° ≤ 2θ ≤ 70°, sorted by position:
2θ 19.15, intensity 19
2θ 21.88, intensity 32
2θ 30.25, intensity 23
2θ 31.62, intensity 56
2θ 31.75, intensity 100
2θ 31.97, intensity 28
2θ 34.39, intensity 18
2θ 34.86, intensity 71
2θ 36.70, intensity 29
2θ 54.48, intensity 38